This entry pairs a crystal structure of PrGaNi with its theoretical X-ray powder pattern. Radiation: CuKα. Structure: DFT lattice parameters and positions (GGA-PBE).
Kinematic intensities with the Lorentz-polarization factor, no thermal factor.

Principal peaks in the range 10 to 90 degrees two-theta, in order of falling intensity:
- 34.6 deg, rel. 100
- 33.9 deg, rel. 39
- 41.5 deg, rel. 33
- 41.3 deg, rel. 27
- 67.0 deg, rel. 16
- 39.9 deg, rel. 16
- 55.0 deg, rel. 14
- 23.5 deg, rel. 12
- 38.1 deg, rel. 11
- 58.7 deg, rel. 10
- 57.2 deg, rel. 9
- 71.0 deg, rel. 9

Structural model:
Cell: 7.116 4.373 7.518 Å, 90.00 90.00 90.00°
Fractional coordinates of all 12 atoms:
Pr: 0.023 0.250 0.200
Pr: 0.477 0.750 0.700
Pr: 0.523 0.250 0.300
Pr: 0.977 0.750 0.800
Ga: 0.179 0.250 0.580
Ga: 0.321 0.750 0.080
Ga: 0.679 0.250 0.920
Ga: 0.821 0.750 0.420
Ni: 0.202 0.750 0.410
Ni: 0.298 0.250 0.910
Ni: 0.702 0.750 0.090
Ni: 0.798 0.250 0.590

---

This entry pairs a crystal structure of Ti3Tl with its theoretical X-ray powder pattern. Radiation: CuKα. Structure: DFT lattice parameters and positions (GGA-PBE).
Kinematic intensities with the Lorentz-polarization factor, no thermal factor.

Principal peaks in the range 10 to 90 degrees two-theta, in order of falling intensity:
- 37.2 deg, rel. 100
- 24.0 deg, rel. 59
- 44.4 deg, rel. 30
- 77.0 deg, rel. 23
- 20.0 deg, rel. 22
- 61.8 deg, rel. 22
- 37.6 deg, rel. 19
- 40.7 deg, rel. 19
- 51.1 deg, rel. 17
- 31.0 deg, rel. 16
- 71.8 deg, rel. 14
- 79.3 deg, rel. 13

Structural model:
Cell: 4.079 4.079 8.857 Å, 90.00 90.00 90.00°
Fractional coordinates of all 8 atoms:
Ti: 0.000 0.000 0.000
Ti: 0.000 0.500 0.250
Ti: 0.000 0.500 0.750
Ti: 0.500 0.000 0.250
Ti: 0.500 0.000 0.750
Ti: 0.500 0.500 0.500
Tl: 0.000 0.000 0.500
Tl: 0.500 0.500 0.000

---

This entry pairs a crystal structure of Sr2InHg with its theoretical X-ray powder pattern. Radiation: CuKα. Structure: DFT lattice parameters and positions (GGA-PBE).
Kinematic intensities with the Lorentz-polarization factor, no thermal factor.

Principal peaks in the range 10 to 90 degrees two-theta, in order of falling intensity:
- 31.2 deg, rel. 100
- 55.5 deg, rel. 39
- 44.7 deg, rel. 19
- 74.0 deg, rel. 17
- 65.1 deg, rel. 12
- 21.9 deg, rel. 9
- 19.0 deg, rel. 6
- 50.3 deg, rel. 4
- 82.4 deg, rel. 4
- 36.8 deg, rel. 4
- 38.5 deg, rel. 3
- 69.6 deg, rel. 2

Structural model:
Cell: 8.106 8.106 8.106 Å, 90.00 90.00 90.00°
Fractional coordinates of all 16 atoms:
Sr: 0.250 0.250 0.250
Sr: 0.250 0.250 0.750
Sr: 0.250 0.750 0.250
Sr: 0.250 0.750 0.750
Sr: 0.750 0.250 0.250
Sr: 0.750 0.250 0.750
Sr: 0.750 0.750 0.250
Sr: 0.750 0.750 0.750
In: 0.000 0.000 0.000
In: 0.000 0.500 0.500
In: 0.500 0.000 0.500
In: 0.500 0.500 0.000
Hg: 0.000 0.000 0.500
Hg: 0.000 0.500 0.000
Hg: 0.500 0.000 0.000
Hg: 0.500 0.500 0.500

---

This entry pairs a crystal structure of SmRe3 with its theoretical X-ray powder pattern. Radiation: CuKα. Structure: DFT lattice parameters and positions (GGA-PBE).
Kinematic intensities with the Lorentz-polarization factor, no thermal factor.

Principal peaks in the range 10 to 90 degrees two-theta, in order of falling intensity:
- 39.0 deg, rel. 100
- 70.6 deg, rel. 35
- 56.3 deg, rel. 17
- 83.7 deg, rel. 11
- 23.6 deg, rel. 1

Structural model:
Cell: 6.534 6.534 6.534 Å, 90.00 90.00 90.00°
Fractional coordinates of all 16 atoms:
Sm: 0.000 0.000 0.000
Sm: 0.000 0.500 0.500
Sm: 0.500 0.000 0.500
Sm: 0.500 0.500 0.000
Re: 0.000 0.000 0.500
Re: 0.000 0.500 0.000
Re: 0.250 0.250 0.250
Re: 0.250 0.250 0.750
Re: 0.250 0.750 0.250
Re: 0.250 0.750 0.750
Re: 0.500 0.000 0.000
Re: 0.500 0.500 0.500
Re: 0.750 0.250 0.250
Re: 0.750 0.250 0.750
Re: 0.750 0.750 0.250
Re: 0.750 0.750 0.750

---

This entry pairs a crystal structure of K2ScAgI6 with its theoretical X-ray powder pattern. Radiation: CuKα. Structure: DFT lattice parameters and positions (GGA-PBE).
Kinematic intensities with the Lorentz-polarization factor, no thermal factor.

Principal peaks in the range 10 to 90 degrees two-theta, in order of falling intensity:
- 30.2 deg, rel. 100
- 26.1 deg, rel. 91
- 43.2 deg, rel. 73
- 15.0 deg, rel. 59
- 51.2 deg, rel. 41
- 33.9 deg, rel. 32
- 71.3 deg, rel. 31
- 53.6 deg, rel. 25
- 79.3 deg, rel. 23
- 46.0 deg, rel. 17
- 69.2 deg, rel. 16
- 85.2 deg, rel. 12

Structural model:
Cell: 8.370 8.370 8.370 Å, 60.00 60.00 60.00°
Fractional coordinates of all 10 atoms:
K: 0.250 0.250 0.250
K: 0.750 0.750 0.750
Sc: 0.000 0.000 0.000
Ag: 0.500 0.500 0.500
I: 0.245 0.245 0.755
I: 0.245 0.755 0.245
I: 0.245 0.755 0.755
I: 0.755 0.245 0.245
I: 0.755 0.245 0.755
I: 0.755 0.755 0.245

---

This entry pairs a crystal structure of CsYNb6Br18 with its theoretical X-ray powder pattern. Radiation: CuKα. Structure: DFT lattice parameters and positions (GGA-PBE).
Kinematic intensities with the Lorentz-polarization factor, no thermal factor.

Principal peaks in the range 10 to 90 degrees two-theta, in order of falling intensity:
- 33.5 deg, rel. 100
- 10.2 deg, rel. 88
- 31.0 deg, rel. 85
- 14.0 deg, rel. 57
- 40.1 deg, rel. 40
- 48.6 deg, rel. 38
- 29.0 deg, rel. 37
- 34.0 deg, rel. 32
- 36.6 deg, rel. 31
- 48.0 deg, rel. 30
- 48.3 deg, rel. 29
- 20.2 deg, rel. 25

Structural model:
Cell: 9.971 9.971 18.608 Å, 90.00 90.00 120.00°
Fractional coordinates of all 52 atoms:
Cs: 0.333 0.667 0.250
Cs: 0.667 0.333 0.750
Y: 0.333 0.667 0.750
Y: 0.667 0.333 0.250
Nb: 0.038 0.187 0.935
Nb: 0.038 0.851 0.565
Nb: 0.149 0.187 0.565
Nb: 0.149 0.962 0.935
Nb: 0.187 0.038 0.435
Nb: 0.187 0.149 0.065
Nb: 0.813 0.851 0.935
Nb: 0.813 0.962 0.565
Nb: 0.851 0.038 0.065
Nb: 0.851 0.813 0.435
Nb: 0.962 0.149 0.435
Nb: 0.962 0.813 0.065
Br: 0.046 0.231 0.159
Br: 0.046 0.815 0.341
Br: 0.085 0.448 0.839
Br: 0.085 0.637 0.661
Br: 0.139 0.414 0.499
Br: 0.139 0.725 0.001
Br: 0.185 0.231 0.341
Br: 0.185 0.954 0.159
Br: 0.231 0.046 0.659
Br: 0.231 0.185 0.841
Br: 0.275 0.414 0.001
Br: 0.275 0.861 0.499
Br: 0.363 0.448 0.661
Br: 0.363 0.915 0.839
Br: 0.414 0.139 0.999
Br: 0.414 0.275 0.501
Br: 0.448 0.085 0.339
Br: 0.448 0.363 0.161
Br: 0.552 0.637 0.839
Br: 0.552 0.915 0.661
Br: 0.586 0.725 0.499
Br: 0.586 0.861 0.001
Br: 0.637 0.085 0.161
Br: 0.637 0.552 0.339
Br: 0.725 0.139 0.501
Br: 0.725 0.586 0.999
Br: 0.769 0.815 0.159
Br: 0.769 0.954 0.341
Br: 0.815 0.046 0.841
Br: 0.815 0.769 0.659
Br: 0.861 0.275 0.999
Br: 0.861 0.586 0.501
Br: 0.915 0.363 0.339
Br: 0.915 0.552 0.161
Br: 0.954 0.185 0.659
Br: 0.954 0.769 0.841

---

This entry pairs a crystal structure of Rb2PdCl4 with its theoretical X-ray powder pattern. Radiation: CuKα. Structure: DFT lattice parameters and positions (GGA-PBE).
Kinematic intensities with the Lorentz-polarization factor, no thermal factor.

Principal peaks in the range 10 to 90 degrees two-theta, in order of falling intensity:
- 26.2 deg, rel. 100
- 12.1 deg, rel. 65
- 34.7 deg, rel. 50
- 44.0 deg, rel. 44
- 31.5 deg, rel. 32
- 23.2 deg, rel. 29
- 54.0 deg, rel. 26
- 40.0 deg, rel. 17
- 49.9 deg, rel. 16
- 24.3 deg, rel. 14
- 68.7 deg, rel. 13
- 65.8 deg, rel. 13

Structural model:
Cell: 7.313 7.313 4.503 Å, 90.00 90.00 90.00°
Fractional coordinates of all 7 atoms:
Rb: 0.000 0.500 0.000
Rb: 0.500 0.000 0.000
Pd: 0.000 0.000 0.500
Cl: 0.226 0.226 0.500
Cl: 0.226 0.774 0.500
Cl: 0.774 0.226 0.500
Cl: 0.774 0.774 0.500

---

This entry pairs a crystal structure of SrCu2Si2 with its theoretical X-ray powder pattern. Radiation: CuKα. Structure: DFT lattice parameters and positions (GGA-PBE).
Kinematic intensities with the Lorentz-polarization factor, no thermal factor.

Principal peaks in the range 10 to 90 degrees two-theta, in order of falling intensity:
- 35.3 deg, rel. 100
- 43.2 deg, rel. 43
- 34.5 deg, rel. 33
- 74.0 deg, rel. 21
- 56.4 deg, rel. 15
- 64.4 deg, rel. 15
- 62.7 deg, rel. 13
- 36.1 deg, rel. 13
- 57.5 deg, rel. 13
- 23.0 deg, rel. 12
- 50.8 deg, rel. 11
- 68.8 deg, rel. 9

Structural model:
Cell: 4.190 4.190 9.952 Å, 90.00 90.00 90.00°
Fractional coordinates of all 10 atoms:
Sr: 0.000 0.000 0.000
Sr: 0.500 0.500 0.500
Cu: 0.000 0.500 0.250
Cu: 0.000 0.500 0.750
Cu: 0.500 0.000 0.250
Cu: 0.500 0.000 0.750
Si: 0.000 0.000 0.377
Si: 0.000 0.000 0.623
Si: 0.500 0.500 0.123
Si: 0.500 0.500 0.877